# K3Co2F7
Computed powder XRD pattern, Cu Kα (weighted mean of Kα1 and Kα2). Input: a structure optimized by DFT (GGA+U).

Structure:
```
12
Lattice="-2.0706 2.0706 10.5822 2.0706 -2.0706 10.5822 2.0706 2.0706 -10.5822" Properties=species:S:1:pos:R:3 pbc="T T T"
K 0.0000 0.0000 0.0000
K 0.0000 0.0000 3.8881
K 0.0000 0.0000 17.2763
Co 0.0000 0.0000 8.5518
Co 0.0000 0.0000 12.6126
F 2.0706 0.0000 2.0094
F 0.0000 0.0000 6.5348
F 2.0706 0.0000 8.5729
F 0.0000 0.0000 10.5822
F 0.0000 2.0706 2.0094
F 0.0000 0.0000 14.6297
F 0.0000 2.0706 8.5729
```

Main lines, sorted by position (15° ≤ 2θ ≤ 90°):
16.8 deg, rel. 31
21.9 deg, rel. 29
30.2 deg, rel. 100
30.5 deg, rel. 80
42.7 deg, rel. 31
43.7 deg, rel. 78
53.4 deg, rel. 19
54.0 deg, rel. 36
62.8 deg, rel. 33
63.5 deg, rel. 21